The following is a simulated XRD peak list of Ho3TaSe5. It was derived from a structure optimized by DFT (PBE), using Cu Kα (weighted mean of Kα1 and Kα2).

Most intense lines, 2θ = 15–90°, in order of rising 2θ:
2θ = 23.84°, I = 79, hkl 1 1 -1
2θ = 24.27°, I = 14, hkl 0 2 0
2θ = 25.93°, I = 87, hkl 1 1 1
2θ = 30.89°, I = 23, hkl 2 0 0
2θ = 39.66°, I = 100, hkl 0 2 2
2θ = 41.68°, I = 22, hkl 2 0 -2
2θ = 42.44°, I = 23, hkl 1 3 -1
2θ = 46.71°, I = 20, hkl 2 0 2
2θ = 49.73°, I = 32, hkl 0 4 0
2θ = 53.11°, I = 18, hkl 3 1 1
2θ = 64.93°, I = 13, hkl 1 3 3
2θ = 81.88°, I = 14, hkl 2 2 4

Cell and atoms:
```
data_Ho3TaSe5
_chemical_formula_sum 'Ho3 Ta1 Se5'
_cell_length_a 5.8220
_cell_length_b 7.3360
_cell_length_c 5.8252
_cell_angle_alpha 90.00
_cell_angle_beta 96.20
_cell_angle_gamma 90.00
_space_group_name_H-M_alt 'P 1'
_space_group_IT_number 1
_space_group_name_Hall 'P 1'
loop_
_atom_site_label
_atom_site_type_symbol
_atom_site_fract_x
_atom_site_fract_y
_atom_site_fract_z
Ho1 Ho 0.0000 0.0000 0.0000
Ho2 Ho 0.0000 0.4441 0.5000
Ho3 Ho 0.5000 0.4465 0.0000
Ta1 Ta 0.5000 0.9212 0.5000
Se1 Se 0.0000 0.3772 0.0000
Se2 Se 0.2521 0.7097 0.2543
Se3 Se 0.3045 0.1623 0.6975
Se4 Se 0.6955 0.1623 0.3025
Se5 Se 0.7479 0.7097 0.7457
```